Entry 1:
Structure and computed powder X-ray diffraction pattern of SrCd4Rh2 (a DFT-relaxed cell (PBE, Alexandria); Cu Ka).
Neutral-atom scattering factors, no anomalous dispersion.

Crystal structure
Cell lengths 8.4530, 8.4530, 4.3456 Å; angles 90.00, 90.00, 90.00 degrees
Space group P4_2/mnm (No. 136)
Asymmetric unit:
Sr  0.0000  0.0000  0.0000 [2 per cell]
Cd  0.0886  0.3380  0.5000 [8 per cell]
Rh  0.2154  0.7846  0.5000 [4 per cell]

Most intense lines, 10 to 90 degrees two-theta, in order of rising 2θ:
| index | 2θ/deg | I/Imax |
| --- | --- | --- |
| 1 1 0 | 14.82 | 23 |
| 2 1 1 | 31.36 | 100 |
| 3 1 0 | 33.52 | 41 |
| 2 2 1 | 36.49 | 75 |
| 3 1 1 | 39.58 | 98 |
| 0 0 2 | 41.56 | 45 |
| 4 1 0 | 44.18 | 44 |
| 4 3 1 | 58.59 | 24 |
| 4 1 2 | 62.26 | 30 |
| 3 1 3 | 74.54 | 24 |

---

Entry 2:
Structure and computed powder X-ray diffraction pattern of Ce3Si2GeRh9 (a DFT-relaxed cell (PBE, Alexandria); Cu Ka).
Neutral-atom scattering factors, no anomalous dispersion.

Crystal structure
Cell lengths 5.6965, 5.6965, 10.0551 Å; angles 90.00, 90.00, 120.00 degrees
Space group P-3m1 (No. 164)
Asymmetric unit:
Ce  0.0000  0.0000  0.0000 [1 per cell]
Ce  0.3333  0.6667  0.6588 [2 per cell]
Si  0.3333  0.6667  0.1621 [2 per cell]
Ge  0.0000  0.0000  0.5000 [1 per cell]
Rh  0.0000  0.5000  0.0000 [3 per cell]
Rh  0.1637  0.3274  0.3184 [6 per cell]

Most intense lines, 10 to 90 degrees two-theta, in order of rising 2θ:
| index | 2θ/deg | I/Imax |
| --- | --- | --- |
| 0 0 3 | 26.60 | 69 |
| 0 2 1 | 37.54 | 86 |
| 2 0 2 | 40.75 | 100 |
| 0 2 4 | 51.94 | 46 |
| 0 0 6 | 54.78 | 12 |
| 2 0 5 | 59.29 | 20 |
| 2 2 0 | 65.55 | 24 |
| 2 2 3 | 72.05 | 24 |
| 0 4 2 | 80.12 | 13 |
| 4 0 4 | 88.25 | 10 |

---

Entry 3:
Structure and computed powder X-ray diffraction pattern of Li10Mg3Cd3 (a DFT-relaxed cell (PBE, Alexandria); Cu Ka).
Neutral-atom scattering factors, no anomalous dispersion.

Crystal structure
Cell lengths 8.2973, 8.2973, 5.4263 Å; angles 90.00, 90.00, 120.00 degrees
Space group P-62m (No. 189)
Asymmetric unit:
Li  0.0000  0.2343  0.0000 [3 per cell]
Li  0.0000  0.7707  0.5000 [3 per cell]
Li  0.3333  0.6667  0.2401 [4 per cell]
Mg  0.0000  0.4144  0.5000 [3 per cell]
Cd  0.0000  0.5995  0.0000 [3 per cell]

Most intense lines, 10 to 90 degrees two-theta, in order of rising 2θ:
| index | 2θ/deg | I/Imax |
| --- | --- | --- |
| 1 0 0 | 12.32 | 27 |
| 0 0 1 | 16.34 | 44 |
| 1 1 0 | 21.42 | 66 |
| 2 0 0 | 24.78 | 33 |
| 1 1 1 | 27.05 | 100 |
| 0 0 2 | 33.00 | 32 |
| 2 1 1 | 37.01 | 42 |
| 1 1 2 | 39.69 | 33 |
| 2 0 2 | 41.72 | 19 |
| 3 1 1 | 48.67 | 45 |